# Tl4Pd4Au
Computed X-ray diffraction stick pattern, CuKα. Input: a cell relaxed with PBE.

Principal peaks in the range 10° ≤ 2θ ≤ 90°, by angle:
26.21°, I = 45.6; 26.60°, I = 49.7; 29.70°, I = 40.4; 31.11°, I = 22.6; 32.03°, I = 42.5; 33.27°, I = 25.0; 36.16°, I = 100.0; 39.53°, I = 64.6; 42.84°, I = 37.8; 46.49°, I = 53.1; 63.10°, I = 29.3; 69.15°, I = 28.2

Atomic structure:
a = 5.509 Å, b = 6.799 Å, c = 10.773 Å
α = 90.00°, β = 90.00°, γ = 90.00°
Space group I222 (No. 23)
Inequivalent atoms, fractional coordinates:
Tl 0.165 0.249 0.346 (multiplicity 8)
Pd 0.184 0.354 0.095 (multiplicity 8)
Au 0.000 0.000 0.000 (multiplicity 2)